(1)
# Hg4Se2Br3
Computed powder diffraction line list, Cu Kα (λ = 1.5418 Å). Input: a structure optimized by DFT (GGA-PBE).
No peak broadening, texture or thermal motion is included.

Main lines, sorted by position (2θ = 10–90°):
2θ/deg	I_rel
15.8	20
20.3	100
26.2	27
30.5	68
31.7	32
33.8	20
39.7	21
43.4	21

Atomic structure:
a b c (Å): 8.874 8.874 7.955
angles (deg): 94.55 94.55 98.22
Fractional coordinates of all 18 atoms:
Hg: 0.157 0.693 0.990
Hg: 0.266 0.266 0.367
Hg: 0.266 0.266 0.867
Hg: 0.307 0.843 0.510
Hg: 0.693 0.157 0.490
Hg: 0.734 0.734 0.133
Hg: 0.734 0.734 0.633
Hg: 0.843 0.307 0.010
Se: 0.148 0.401 0.118
Se: 0.401 0.148 0.618
Se: 0.599 0.852 0.382
Se: 0.852 0.599 0.882
Br: 0.016 0.734 0.414
Br: 0.266 0.984 0.086
Br: 0.370 0.630 0.750
Br: 0.630 0.370 0.250
Br: 0.734 0.016 0.914
Br: 0.984 0.266 0.586


(2)
# HgSeBr
Computed powder diffraction line list, Cu Kα (λ = 1.5418 Å). Input: a structure optimized by DFT (GGA-PBE).
No peak broadening, texture or thermal motion is included.

Main lines, sorted by position (2θ = 10–90°):
2θ/deg	I_rel
16.3	100
21.0	49
21.4	46
27.8	76
29.9	61
30.5	53
30.8	27
37.5	44

Atomic structure:
a b c (Å): 5.893 6.308 6.411
angles (deg): 119.21 90.68 98.13
Fractional coordinates of all 6 atoms:
Hg: 0.000 0.000 0.000
Hg: 0.489 0.019 0.471
Se: 0.419 0.191 0.134
Se: 0.584 0.807 0.940
Br: 0.143 0.701 0.411
Br: 0.855 0.310 0.713


(3)
# Hg4Te2SeBr
Computed powder diffraction line list, Cu Kα (λ = 1.5418 Å). Input: a structure optimized by DFT (GGA-PBE).
No peak broadening, texture or thermal motion is included.

Main lines, sorted by position (2θ = 10–90°):
2θ/deg	I_rel
23.2	100
38.0	24
38.5	48
45.0	31
45.8	17
61.0	12
69.0	14
69.9	8

Atomic structure:
a b c (Å): 6.700 6.700 13.072
angles (deg): 90.00 90.00 90.00
Fractional coordinates of all 16 atoms:
Hg: 0.227 0.227 0.372
Hg: 0.227 0.773 0.628
Hg: 0.273 0.273 0.872
Hg: 0.273 0.727 0.128
Hg: 0.727 0.273 0.128
Hg: 0.727 0.727 0.872
Hg: 0.773 0.227 0.628
Hg: 0.773 0.773 0.372
Te: 0.000 0.500 0.250
Te: 0.000 0.500 0.750
Te: 0.500 0.000 0.250
Te: 0.500 0.000 0.750
Se: 0.000 0.000 0.500
Se: 0.500 0.500 0.000
Br: 0.000 0.000 0.000
Br: 0.500 0.500 0.500


(4)
# TlHg6Se4Br5
Computed powder diffraction line list, Cu Kα (λ = 1.5418 Å). Input: a structure optimized by DFT (GGA-PBE).
No peak broadening, texture or thermal motion is included.

Main lines, sorted by position (2θ = 10–90°):
2θ/deg	I_rel
16.5	27
27.3	100
30.3	70
32.2	32
33.3	32
37.9	26
40.1	30
51.1	29

Atomic structure:
a b c (Å): 11.535 11.535 11.535
angles (deg): 98.75 98.75 134.08
Fractional coordinates of all 32 atoms:
Tl: 0.250 0.750 0.500
Tl: 0.750 0.250 0.500
Hg: 0.071 0.284 0.868
Hg: 0.203 0.071 0.787
Hg: 0.248 0.370 0.618
Hg: 0.284 0.416 0.213
Hg: 0.370 0.752 0.122
Hg: 0.416 0.203 0.132
Hg: 0.584 0.797 0.868
Hg: 0.630 0.248 0.878
Hg: 0.716 0.584 0.787
Hg: 0.752 0.630 0.382
Hg: 0.797 0.929 0.213
Hg: 0.929 0.716 0.132
Se: 0.020 0.096 0.669
Se: 0.096 0.427 0.076
Se: 0.351 0.020 0.924
Se: 0.427 0.351 0.331
Se: 0.573 0.649 0.669
Se: 0.649 0.980 0.076
Se: 0.904 0.573 0.924
Se: 0.980 0.904 0.331
Br: 0.000 0.000 0.000
Br: 0.065 0.330 0.396
Br: 0.185 0.562 0.748
Br: 0.330 0.935 0.265
Br: 0.438 0.185 0.623
Br: 0.500 0.500 0.000
Br: 0.562 0.815 0.377
Br: 0.670 0.065 0.735
Br: 0.815 0.438 0.252
Br: 0.935 0.670 0.604


(5)
# ZnHg3Se3Br2
Computed powder diffraction line list, Cu Kα (λ = 1.5418 Å). Input: a structure optimized by DFT (GGA-PBE).
No peak broadening, texture or thermal motion is included.

Main lines, sorted by position (2θ = 10–90°):
2θ/deg	I_rel
17.6	100
23.1	38
24.4	55
28.3	33
29.0	32
31.3	31
33.4	63
36.1	39

Atomic structure:
a b c (Å): 7.381 8.143 10.617
angles (deg): 107.31 92.41 97.19
Fractional coordinates of all 18 atoms:
Zn: 0.026 0.036 0.160
Zn: 0.974 0.964 0.840
Hg: 0.000 0.000 0.500
Hg: 0.000 0.500 0.000
Hg: 0.000 0.500 0.500
Hg: 0.500 0.000 0.000
Hg: 0.500 0.000 0.500
Hg: 0.500 0.500 0.000
Se: 0.128 0.811 0.634
Se: 0.218 0.156 0.013
Se: 0.257 0.603 0.880
Se: 0.743 0.397 0.120
Se: 0.782 0.844 0.987
Se: 0.872 0.189 0.366
Br: 0.198 0.849 0.250
Br: 0.378 0.276 0.607
Br: 0.622 0.724 0.393
Br: 0.802 0.151 0.750


(6)
# SiHgBr2
Computed powder diffraction line list, Cu Kα (λ = 1.5418 Å). Input: a structure optimized by DFT (GGA-PBE).
No peak broadening, texture or thermal motion is included.

Main lines, sorted by position (2θ = 10–90°):
2θ/deg	I_rel
16.3	53
24.5	100
26.4	59
26.7	71
28.4	60
28.6	46
31.5	54
33.6	50

Atomic structure:
a b c (Å): 12.636 3.530 6.768
angles (deg): 90.00 112.51 90.00
Fractional coordinates of all 8 atoms:
Si: 0.000 0.000 0.000
Si: 0.500 0.500 0.000
Hg: 0.189 0.500 0.358
Hg: 0.689 0.000 0.358
Br: 0.012 0.500 0.721
Br: 0.352 0.000 0.027
Br: 0.512 0.000 0.721
Br: 0.852 0.500 0.027


(7)
# SiHgBr4
Computed powder diffraction line list, Cu Kα (λ = 1.5418 Å). Input: a structure optimized by DFT (GGA-PBE).
No peak broadening, texture or thermal motion is included.

Main lines, sorted by position (2θ = 10–90°):
2θ/deg	I_rel
16.1	28
19.3	100
24.6	33
25.4	25
26.3	49
29.5	29
30.1	32
30.9	32

Atomic structure:
a b c (Å): 12.205 7.104 7.104
angles (deg): 101.31 90.00 90.00
Fractional coordinates of all 12 atoms:
Si: 0.250 0.058 0.942
Si: 0.750 0.942 0.058
Hg: 0.000 0.545 0.545
Hg: 0.500 0.545 0.545
Br: 0.102 0.102 0.775
Br: 0.250 0.268 0.217
Br: 0.250 0.764 0.001
Br: 0.398 0.102 0.775
Br: 0.602 0.775 0.102
Br: 0.750 0.001 0.764
Br: 0.750 0.217 0.268
Br: 0.898 0.775 0.102


(8)
# SnHg14Br
Computed powder diffraction line list, Cu Kα (λ = 1.5418 Å). Input: a structure optimized by DFT (GGA-PBE).
No peak broadening, texture or thermal motion is included.

Main lines, sorted by position (2θ = 10–90°):
2θ/deg	I_rel
29.2	15
30.3	22
32.3	39
33.5	40
34.5	100
52.5	15
59.0	21
63.1	20

Atomic structure:
a b c (Å): 11.078 6.973 6.973
angles (deg): 57.66 90.00 90.00
Fractional coordinates of all 16 atoms:
Sn: 0.000 0.000 0.000
Hg: 0.000 0.078 0.537
Hg: 0.000 0.537 0.078
Hg: 0.250 0.249 0.249
Hg: 0.252 0.250 0.748
Hg: 0.252 0.748 0.250
Hg: 0.262 0.749 0.749
Hg: 0.500 0.091 0.587
Hg: 0.500 0.095 0.095
Hg: 0.500 0.580 0.580
Hg: 0.500 0.587 0.091
Hg: 0.738 0.749 0.749
Hg: 0.748 0.250 0.748
Hg: 0.748 0.748 0.250
Hg: 0.750 0.249 0.249
Br: 0.000 0.588 0.588